Theoretical powder diffraction line list of RbTmFeO3 for Cu Kα, 1.54184 Å, from the PBE+U geometry in Alexandria.

Crystal structure
abc: 7.525 3.613 9.410
angles: 90.00 111.62 90.00
Fractional positions:
1 Rb 0.034 0.250 0.319
2 Rb 0.966 0.750 0.681
3 Tm 0.454 0.750 0.633
4 Tm 0.546 0.250 0.367
5 Fe 0.401 0.250 0.876
6 Fe 0.599 0.750 0.124
7 O 0.269 0.250 0.651
8 O 0.363 0.750 0.384
9 O 0.481 0.750 0.888
10 O 0.519 0.250 0.112
11 O 0.637 0.250 0.616
12 O 0.731 0.750 0.349

Top 10 peaks for 10° ≤ 2θ ≤ 80°, low angle first:
h k l, 2θ (°), d_spacing, I/Imax
0 0 1, 10.1, 8.748, 86.5
1 0 0, 12.7, 6.995, 100.0
2 0 0, 25.5, 3.498, 44.7
0 1 1, 26.7, 3.339, 30.4
2 0 1, 30.8, 2.900, 24.7
2 0 -3, 31.9, 2.805, 22.9
0 1 2, 32.1, 2.785, 51.7
2 1 -1, 34.4, 2.605, 71.2
2 1 -2, 36.2, 2.481, 23.4
4 0 1, 57.4, 1.605, 20.7